(1)
# Li5Fe3Sn2O10
Calculated powder XRD pattern, copper Kα. Input: DFT lattice parameters and positions (PBE+U).
Peak positions follow from Bragg's law for the DFT cell and can differ from measured ones.

Principal peaks in the range 2θ from 10° to 90°, in order of rising 2θ:
| Position (°2θ) | Rel. int. |
| --- | --- |
| 17.65 | 547 |
| 17.90 | 1000 |
| 21.88 | 355 |
| 25.46 | 260 |
| 34.17 | 195 |
| 34.37 | 287 |
| 35.66 | 359 |
| 41.27 | 499 |
| 41.55 | 517 |
| 42.19 | 474 |

Atomic structure:
abc: 5.2802 5.3182 8.0912
angles: 101.49 108.37 100.62
Positions (direct):
Li1 0.0000 0.0000 0.0000
Li2 0.2030 0.0882 0.7041
Li3 0.4161 0.7281 0.9072
Li4 0.5839 0.2719 0.0928
Li5 0.7970 0.9118 0.2959
Fe1 0.0000 0.5000 0.5000
Fe2 0.3962 0.1955 0.3955
Fe3 0.6038 0.8045 0.6045
Sn1 0.2042 0.6031 0.1981
Sn2 0.7958 0.3969 0.8019
O1 0.0035 0.2834 0.2711
O2 0.1824 0.8206 0.4416
O3 0.1866 0.3566 0.9585
O4 0.3940 0.9519 0.1624
O5 0.4085 0.4354 0.6446
O6 0.5915 0.5646 0.3554
O7 0.6060 0.0481 0.8376
O8 0.8134 0.6434 0.0415
O9 0.8176 0.1794 0.5584
O10 0.9965 0.7166 0.7289

---

(2)
# Li2Fe2SnO6
Calculated powder XRD pattern, copper Kα. Input: DFT lattice parameters and positions (PBE+U).
Peak positions follow from Bragg's law for the DFT cell and can differ from measured ones.

Principal peaks in the range 2θ from 10° to 90°, in order of rising 2θ:
| Position (°2θ) | Rel. int. |
| --- | --- |
| 17.49 | 1000 |
| 21.62 | 101 |
| 34.55 | 105 |
| 35.72 | 407 |
| 38.98 | 243 |
| 44.00 | 412 |
| 50.30 | 149 |
| 57.69 | 190 |
| 62.67 | 169 |
| 75.65 | 89 |

Atomic structure:
abc: 5.1894 5.1894 10.1417
angles: 90.00 90.00 60.03
Positions (direct):
Li1 0.1589 0.3411 0.2500
Li2 0.3411 0.1589 0.7500
Li3 0.6589 0.8411 0.2500
Li4 0.8411 0.6589 0.7500
Fe1 0.1639 0.1639 0.0000
Fe2 0.3361 0.3361 0.5000
Fe3 0.6639 0.6639 0.5000
Fe4 0.8361 0.8361 0.0000
Sn1 0.0000 0.0000 0.5000
Sn2 0.5000 0.5000 0.0000
O1 0.0090 0.3481 0.6053
O2 0.1519 0.4910 0.8947
O3 0.1542 0.8458 0.0990
O4 0.3458 0.6542 0.5990
O5 0.3481 0.0090 0.3947
O6 0.4910 0.1519 0.1053
O7 0.5090 0.8481 0.8947
O8 0.6519 0.9910 0.6053
O9 0.6542 0.3458 0.4010
O10 0.8458 0.1542 0.9010
O11 0.8481 0.5090 0.1053
O12 0.9910 0.6519 0.3947

---

(3)
# LiFeSnO4
Calculated powder XRD pattern, copper Kα. Input: DFT lattice parameters and positions (PBE+U).
Peak positions follow from Bragg's law for the DFT cell and can differ from measured ones.

Principal peaks in the range 2θ from 10° to 90°, in order of rising 2θ:
| Position (°2θ) | Rel. int. |
| --- | --- |
| 18.22 | 149 |
| 19.09 | 1000 |
| 32.36 | 460 |
| 33.87 | 135 |
| 34.11 | 406 |
| 34.60 | 438 |
| 43.71 | 159 |
| 48.84 | 318 |
| 50.97 | 138 |
| 58.52 | 249 |

Atomic structure:
abc: 3.1224 5.2928 9.7376
angles: 90.00 90.00 90.00
Positions (direct):
Li1 0.0000 0.2104 0.0000
Li2 0.0000 0.7896 0.5000
Fe1 0.0000 0.2240 0.3870
Fe2 0.0000 0.7760 0.8870
Sn1 0.5000 0.2892 0.6747
Sn2 0.5000 0.7108 0.1747
O1 0.0000 0.1131 0.7820
O2 0.0000 0.4515 0.5600
O3 0.0000 0.5485 0.0600
O4 0.0000 0.8869 0.2820
O5 0.5000 0.0397 0.5062
O6 0.5000 0.3955 0.3015
O7 0.5000 0.6045 0.8015
O8 0.5000 0.9603 0.0062

---

(4)
# LiFeSnO4
Calculated powder XRD pattern, copper Kα. Input: DFT lattice parameters and positions (PBE+U).
Peak positions follow from Bragg's law for the DFT cell and can differ from measured ones.

Principal peaks in the range 2θ from 10° to 90°, in order of rising 2θ:
| Position (°2θ) | Rel. int. |
| --- | --- |
| 17.35 | 306 |
| 17.81 | 1000 |
| 33.65 | 418 |
| 34.15 | 195 |
| 35.11 | 168 |
| 36.06 | 152 |
| 41.33 | 649 |
| 44.94 | 145 |
| 54.99 | 128 |
| 59.87 | 284 |

Atomic structure:
abc: 6.1816 6.1816 6.1816
angles: 121.27 118.70 90.04
Positions (direct):
Li1 0.3801 0.1301 0.2500
Li2 0.6199 0.8699 0.7500
Fe1 0.0000 0.0000 0.5000
Fe2 0.0000 0.5000 0.0000
Sn1 0.0000 0.5000 0.5000
Sn2 0.5000 0.5000 0.0000
O1 0.2096 0.7382 0.4714
O2 0.2332 0.2618 0.9714
O3 0.2392 0.2570 0.5178
O4 0.2392 0.7214 0.9822
O5 0.7608 0.2786 0.0178
O6 0.7608 0.7430 0.4822
O7 0.7668 0.7382 0.0286
O8 0.7904 0.2618 0.5286

---

(5)
# Li4Ti3Fe2Sn3O16
Calculated powder XRD pattern, copper Kα. Input: DFT lattice parameters and positions (PBE+U).
Peak positions follow from Bragg's law for the DFT cell and can differ from measured ones.

Principal peaks in the range 2θ from 10° to 90°, in order of rising 2θ:
| Position (°2θ) | Rel. int. |
| --- | --- |
| 17.85 | 1000 |
| 18.97 | 885 |
| 24.61 | 206 |
| 34.45 | 364 |
| 34.95 | 430 |
| 35.07 | 270 |
| 43.62 | 214 |
| 43.82 | 346 |
| 58.15 | 278 |
| 60.20 | 283 |

Atomic structure:
abc: 6.1493 6.1493 9.9377
angles: 90.50 90.50 59.59
Positions (direct):
Li1 0.0000 0.0000 0.0000
Li2 0.0093 0.0093 0.4952
Li3 0.3224 0.3224 0.3856
Li4 0.6593 0.6593 0.8907
Ti1 0.1652 0.1652 0.7195
Ti2 0.3297 0.8221 0.2148
Ti3 0.8221 0.3297 0.2148
Fe1 0.3260 0.3260 0.9963
Fe2 0.6587 0.6587 0.4921
Sn1 0.1648 0.6582 0.7123
Sn2 0.6582 0.1648 0.7123
Sn3 0.8221 0.8221 0.2110
O1 0.0022 0.0022 0.8183
O2 0.0283 0.4706 0.8311
O3 0.1485 0.1485 0.1123
O4 0.1539 0.6804 0.1009
O5 0.3140 0.8480 0.6059
O6 0.3210 0.3210 0.5976
O7 0.4706 0.0283 0.8311
O8 0.4795 0.4795 0.8348
O9 0.4998 0.9547 0.3286
O10 0.5081 0.5081 0.3193
O11 0.6486 0.6486 0.1015
O12 0.6804 0.1539 0.1009
O13 0.8430 0.8430 0.5947
O14 0.8480 0.3140 0.6059
O15 0.9547 0.4998 0.3286
O16 0.9971 0.9971 0.3133

---

(6)
# Li2Fe3TeO8
Calculated powder XRD pattern, copper Kα. Input: DFT lattice parameters and positions (PBE+U).
Peak positions follow from Bragg's law for the DFT cell and can differ from measured ones.

Principal peaks in the range 2θ from 10° to 90°, in order of rising 2θ:
| Position (°2θ) | Rel. int. |
| --- | --- |
| 17.79 | 1000 |
| 17.97 | 460 |
| 34.05 | 188 |
| 34.32 | 300 |
| 34.63 | 174 |
| 41.60 | 230 |
| 41.82 | 457 |
| 55.47 | 138 |
| 59.71 | 142 |
| 61.20 | 138 |

Atomic structure:
abc: 6.1341 6.0893 10.4757
angles: 90.00 124.01 90.00
Positions (direct):
Li1 0.0834 0.2481 0.1089
Li2 0.0834 0.7519 0.6089
Li3 0.9166 0.2481 0.3911
Li4 0.9166 0.7519 0.8911
Fe1 0.5000 0.0000 0.0000
Fe2 0.5000 0.0000 0.5000
Fe3 0.5000 0.2500 0.7500
Fe4 0.5000 0.5000 0.0000
Fe5 0.5000 0.5000 0.5000
Fe6 0.5000 0.7500 0.2500
Te1 0.0000 0.2559 0.7500
Te2 0.0000 0.7441 0.2500
O1 0.2311 0.0357 0.7473
O2 0.2314 0.2624 0.9753
O3 0.2314 0.7376 0.4753
O4 0.2311 0.9643 0.2473
O5 0.2436 0.4806 0.7573
O6 0.2436 0.5194 0.2573
O7 0.3067 0.2582 0.5223
O8 0.3067 0.7418 0.0223
O9 0.6933 0.2582 0.9777
O10 0.6933 0.7418 0.4777
O11 0.7564 0.4806 0.7427
O12 0.7564 0.5194 0.2427
O13 0.7689 0.0357 0.7527
O14 0.7686 0.2624 0.5247
O15 0.7686 0.7376 0.0247
O16 0.7689 0.9643 0.2527